(1)
SrCuH4C4O8: simulated X-ray powder pattern (Cu Kα), based on the PBE geometry in the Materials Project.
Kinematic intensities with the Lorentz-polarization factor, no thermal factor.

Crystal structure
```
data_SrCuH4C4O8
_chemical_formula_sum 'Sr2 Cu2 H8 C8 O16'
_cell_length_a 7.3288
_cell_length_b 8.9640
_cell_length_c 7.4039
_cell_angle_alpha 90.00
_cell_angle_beta 92.66
_cell_angle_gamma 90.00
_space_group_name_H-M_alt 'P 1 2/c 1'
_space_group_IT_number 13
_space_group_name_Hall '-P 2yc'
loop_
_atom_site_label
_atom_site_type_symbol
_atom_site_fract_x
_atom_site_fract_y
_atom_site_fract_z
Sr1 Sr 0.0000 0.1772 0.2500
Cu1 Cu 0.5000 0.3882 0.2500
H1 H 0.2779 0.4181 0.8788
H2 H 0.3910 0.1497 0.9833
C1 C 0.2057 0.3700 0.6071
C2 C 0.3089 0.4549 0.7413
O1 O 0.0640 0.3450 0.5178
O2 O 0.3051 0.2431 0.2021
O3 O 0.3201 0.1076 0.0810
O4 O 0.3624 0.2985 0.6248
```

Most intense lines, 2θ from 15° to 90°, by angle:
two_theta, d/Å, I_rel, index
15.56, 5.696, 100, 0 1 1
24.07, 3.698, 20, 0 0 2
26.50, 3.363, 65, 1 2 1
28.33, 3.150, 20, 1 1 -2
28.50, 3.132, 22, 2 1 -1
29.30, 3.048, 17, 1 1 2


(2)
SrCuH4C4O8: simulated X-ray powder pattern (Cu Kα), based on the PBE geometry in the Materials Project.
Kinematic intensities with the Lorentz-polarization factor, no thermal factor.

Crystal structure
```
data_SrCuH4C4O8
_chemical_formula_sum 'Sr2 Cu2 H8 C8 O16'
_cell_length_a 7.5503
_cell_length_b 8.8218
_cell_length_c 7.0561
_cell_angle_alpha 90.00
_cell_angle_beta 100.39
_cell_angle_gamma 90.00
_space_group_name_H-M_alt 'P 1 2/c 1'
_space_group_IT_number 13
_space_group_name_Hall '-P 2yc'
loop_
_atom_site_label
_atom_site_type_symbol
_atom_site_fract_x
_atom_site_fract_y
_atom_site_fract_z
Sr1 Sr 0.0000 0.1376 0.2500
Cu1 Cu 0.5000 0.4025 0.2500
H1 H 0.1636 0.4405 0.7591
H2 H 0.4280 0.1617 0.9286
C1 C 0.2035 0.3997 0.6244
C2 C 0.3189 0.1517 0.0138
O1 O 0.0989 0.3150 0.5150
O2 O 0.1993 0.0515 0.9720
O3 O 0.3197 0.2438 0.1543
O4 O 0.3578 0.4429 0.5913
```

Most intense lines, 2θ from 15° to 90°, by angle:
two_theta, d/Å, I_rel, index
15.60, 5.681, 97, 1 1 0
16.25, 5.455, 82, 0 1 1
27.07, 3.294, 42, 2 1 -1
27.83, 3.206, 100, 1 2 1
28.22, 3.162, 45, 1 1 -2
31.97, 2.799, 36, 2 0 -2


(3)
TlCuHCO4: simulated X-ray powder pattern (Cu Kα), based on the PBE geometry in the Materials Project.
Kinematic intensities with the Lorentz-polarization factor, no thermal factor.

Crystal structure
```
data_TlCuHCO4
_chemical_formula_sum 'Tl6 Cu6 H6 C6 O24'
_cell_length_a 11.1524
_cell_length_b 11.1524
_cell_length_c 6.1008
_cell_angle_alpha 90.00
_cell_angle_beta 90.00
_cell_angle_gamma 120.00
_space_group_name_H-M_alt 'P 63/m'
_space_group_IT_number 176
_space_group_name_Hall '-P 6c'
loop_
_atom_site_label
_atom_site_type_symbol
_atom_site_fract_x
_atom_site_fract_y
_atom_site_fract_z
Tl1 Tl 0.1352 0.2830 0.2500
Cu1 Cu 0.0000 0.5000 0.0000
H1 H 0.1952 0.5867 0.2500
C1 C 0.1938 0.7627 0.7500
O1 O 0.1069 0.5005 0.2500
O2 O 0.1084 0.3922 0.7500
O3 O 0.1469 0.6976 0.5631
```

Most intense lines, 2θ from 15° to 90°, by angle:
two_theta, d/Å, I_rel, index
15.89, 5.576, 50, 1 1 0
23.49, 3.786, 100, 2 0 1
28.49, 3.133, 52, 2 1 1
31.42, 2.847, 55, 3 0 1
32.10, 2.788, 49, 2 2 0
34.79, 2.579, 48, 2 0 2


(4)
U3Cu2H10C2O20: simulated X-ray powder pattern (Cu Kα), based on the PBE geometry in the Materials Project.
Kinematic intensities with the Lorentz-polarization factor, no thermal factor.

Crystal structure
```
data_U3Cu2H10C2O20
_chemical_formula_sum 'U3 Cu2 H10 C2 O20'
_cell_length_a 6.9918
_cell_length_b 7.8203
_cell_length_c 7.8923
_cell_angle_alpha 90.53
_cell_angle_beta 95.37
_cell_angle_gamma 91.40
_space_group_name_H-M_alt 'P -1'
_space_group_IT_number 2
_space_group_name_Hall '-P 1'
loop_
_atom_site_label
_atom_site_type_symbol
_atom_site_fract_x
_atom_site_fract_y
_atom_site_fract_z
U1 U 0.0000 0.0000 0.0000
U2 U 0.4782 0.8049 0.8632
Cu1 Cu 0.2657 0.4965 0.5024
H1 H 0.1592 0.2295 0.6820
H2 H 0.1857 0.7733 0.3273
H3 H 0.3321 0.8185 0.4945
H4 H 0.3576 0.1884 0.6096
H5 H 0.4811 0.4596 0.7594
C1 C 0.0336 0.3137 0.2312
O1 O 0.0098 0.8606 0.1920
O2 O 0.0446 0.4421 0.3322
O3 O 0.1317 0.7518 0.8308
O4 O 0.1804 0.2360 0.1797
O5 O 0.2441 0.2593 0.5915
O6 O 0.2918 0.7290 0.4069
O7 O 0.3152 0.9983 0.0044
O8 O 0.4430 0.9315 0.6658
O9 O 0.4631 0.5611 0.6855
O10 O 0.4944 0.3264 0.9464
```

Most intense lines, 2θ from 15° to 90°, by angle:
two_theta, d/Å, I_rel, index
15.90, 5.574, 100, 0 1 -1
21.39, 4.154, 16, 1 1 1
27.04, 3.298, 28, 2 0 -1
27.86, 3.203, 32, -1 2 1
29.40, 3.038, 17, 1 2 1
29.65, 3.013, 19, 1 1 2


(5)
KCuC2: simulated X-ray powder pattern (Cu Kα), based on the PBE geometry in the Materials Project.
Kinematic intensities with the Lorentz-polarization factor, no thermal factor.

Crystal structure
```
data_KCuC2
_chemical_formula_sum 'K2 Cu2 C4'
_cell_length_a 4.9155
_cell_length_b 4.9155
_cell_length_c 7.7540
_cell_angle_alpha 90.00
_cell_angle_beta 90.00
_cell_angle_gamma 90.00
_space_group_name_H-M_alt 'P 42/m m c'
_space_group_IT_number 131
_space_group_name_Hall '-P 4c 2'
loop_
_atom_site_label
_atom_site_type_symbol
_atom_site_fract_x
_atom_site_fract_y
_atom_site_fract_z
K1 K 0.0000 0.0000 0.2500
Cu1 Cu 0.5000 0.5000 0.0000
C1 C 0.1275 0.5000 0.0000
```

Most intense lines, 2θ from 15° to 90°, by angle:
two_theta, d/Å, I_rel, index
25.63, 3.476, 48, 1 1 0
29.34, 3.044, 100, 1 0 2
36.56, 2.458, 30, 2 0 0
47.55, 1.912, 40, 2 1 2
61.43, 1.509, 13, 3 0 2
73.66, 1.286, 12, 3 2 2


(6)
K3CuC4N4: simulated X-ray powder pattern (Cu Kα), based on the PBE geometry in the Materials Project.
Kinematic intensities with the Lorentz-polarization factor, no thermal factor.

Crystal structure
```
data_K3CuC4N4
_chemical_formula_sum 'K18 Cu6 C24 N24'
_cell_length_a 9.8993
_cell_length_b 9.8993
_cell_length_c 17.1236
_cell_angle_alpha 90.00
_cell_angle_beta 90.00
_cell_angle_gamma 120.00
_space_group_name_H-M_alt 'R 3 c'
_space_group_IT_number 161
_space_group_name_Hall 'R 3 -2"c'
loop_
_atom_site_label
_atom_site_type_symbol
_atom_site_fract_x
_atom_site_fract_y
_atom_site_fract_z
K1 K 0.1085 0.3830 0.0000
Cu1 Cu 0.0000 0.0000 0.1066
C1 C 0.0000 0.0000 0.4921
C2 C 0.1627 0.4687 0.8103
N1 N 0.0000 0.0000 0.4230
N2 N 0.0600 0.3450 0.8297
```

Most intense lines, 2θ from 15° to 90°, by angle:
two_theta, d/Å, I_rel, index
23.21, 3.832, 100, 2 0 2
28.03, 3.184, 42, 2 1 1
29.48, 3.030, 45, 1 2 2
31.31, 2.857, 55, 0 0 6
36.33, 2.473, 43, 1 1 6
38.23, 2.354, 31, 1 2 5